# Mg14MnNb
Calculated X-ray diffraction stick pattern, a wavelength of 1.5418 Å. Input: a GGA-PBE-relaxed structure.

Main lines, by angle (2θ = 5–70°):
- 2θ 8.82, d = 10.027 Å, I 48
- 2θ 18.35, d = 4.834 Å, I 17
- 2θ 32.46, d = 2.759 Å, I 13
- 2θ 33.04, d = 2.711 Å, I 28
- 2θ 35.82, d = 2.507 Å, I 38
- 2θ 37.20, d = 2.417 Å, I 54
- 2θ 37.72, d = 2.385 Å, I 100
- 2θ 49.53, d = 1.840 Å, I 18
- 2θ 58.27, d = 1.583 Å, I 18
- 2θ 65.63, d = 1.423 Å, I 18

Crystal structure
Cell lengths 10.027, 6.335, 6.335 Å; angles 58.86, 90.00, 90.00 degrees
Fractional coordinates of all 16 atoms:
Mg 0.000 0.000 0.000
Mg 0.000 0.001 0.501
Mg 0.000 0.500 0.500
Mg 0.000 0.501 0.001
Mg 0.254 0.163 0.163
Mg 0.256 0.663 0.663
Mg 0.259 0.168 0.671
Mg 0.259 0.671 0.168
Mg 0.500 0.004 0.499
Mg 0.500 0.499 0.004
Mg 0.741 0.168 0.671
Mg 0.741 0.671 0.168
Mg 0.744 0.663 0.663
Mg 0.746 0.163 0.163
Mn 0.500 0.499 0.499
Nb 0.500 0.005 0.005